Diffraction record for Li4Mn3F10. The X-ray diffraction stick pattern is simulated, not measured: it uses the GGA+U geometry in Alexandria and Cu Kα X-rays.

Crystal structure
Cell: 5.162 5.487 7.761 Å, 70.78 74.57 78.49°
Atoms (fractional coordinates):
Li 0.004 0.146 0.201
Li 0.486 0.202 0.348
Li 0.514 0.798 0.652
Li 0.996 0.854 0.799
Mn 0.000 0.500 0.500
Mn 0.323 0.258 0.856
Mn 0.677 0.742 0.144
F 0.000 0.000 0.000
F 0.000 0.500 0.000
F 0.202 0.646 0.642
F 0.252 0.136 0.612
F 0.326 0.556 0.268
F 0.394 0.098 0.154
F 0.606 0.902 0.846
F 0.674 0.444 0.732
F 0.748 0.864 0.388
F 0.798 0.354 0.358

Main lines, in order of falling intensity (5 to 70 degrees two-theta):
(0 1 1), 2θ 18.1, I = 100; (1 1 0), 2θ 23.4, I = 89; (1 0 -1), 2θ 24.0, I = 55; (2 2 2), 2θ 44.6, I = 50; (1 -1 1), 2θ 29.9, I = 44; (1 -2 0), 2θ 41.6, I = 43; (1 0 2), 2θ 27.4, I = 37; (1 1 2), 2θ 26.9, I = 36; (1 0 3), 2θ 38.2, I = 34; (1 -2 1), 2θ 45.4, I = 32